This entry pairs a crystal structure of CsZnAg3 with its computed powder diffraction line list. Radiation: Cu Ka. Structure: DFT lattice parameters and positions (GGA-PBE).
Kinematic intensities with the Lorentz-polarization factor, no thermal factor.

Structural model:
a = 8.826 Å, b = 8.826 Å, c = 6.741 Å
α = 90.22°, β = 90.22°, γ = 87.68°
Positions (direct):
Cs (0.067, 0.225, 0.243)
Cs (0.225, 0.067, 0.743)
Cs (0.775, 0.933, 0.257)
Cs (0.933, 0.775, 0.757)
Zn (0.260, 0.740, 0.250)
Zn (0.479, 0.521, 0.250)
Zn (0.521, 0.479, 0.750)
Zn (0.740, 0.260, 0.750)
Ag (0.005, 0.594, 0.254)
Ag (0.252, 0.514, 0.960)
Ag (0.253, 0.515, 0.539)
Ag (0.406, 0.995, 0.246)
Ag (0.485, 0.747, 0.961)
Ag (0.486, 0.748, 0.540)
Ag (0.514, 0.252, 0.460)
Ag (0.515, 0.253, 0.039)
Ag (0.594, 0.005, 0.754)
Ag (0.747, 0.485, 0.461)
Ag (0.748, 0.486, 0.040)
Ag (0.995, 0.406, 0.746)

Peak list (10 most intense, 10° ≤ 2θ ≤ 80°, in order of rising 2θ)
2θ = 10.0°, intensity 94
2θ = 26.5°, intensity 100
2θ = 28.4°, intensity 66
2θ = 32.2°, intensity 67
2θ = 33.2°, intensity 68
2θ = 34.7°, intensity 60
2θ = 34.9°, intensity 56
2θ = 39.8°, intensity 47
2θ = 40.9°, intensity 71
2θ = 41.8°, intensity 46

---

This entry pairs a crystal structure of Cu3Ag5 with its computed powder diffraction line list. Radiation: Cu Ka. Structure: DFT lattice parameters and positions (GGA-PBE).
Kinematic intensities with the Lorentz-polarization factor, no thermal factor.

Structural model:
a = 7.516 Å, b = 7.516 Å, c = 7.674 Å
α = 96.18°, β = 96.18°, γ = 140.92°
Positions (direct):
Cu (0.168, 0.832, 0.000)
Cu (0.255, 0.745, 0.500)
Cu (0.395, 0.395, 0.655)
Cu (0.605, 0.605, 0.345)
Cu (0.745, 0.255, 0.500)
Cu (0.832, 0.168, 0.000)
Ag (0.049, 0.252, 0.353)
Ag (0.230, 0.230, 0.956)
Ag (0.240, 0.590, 0.802)
Ag (0.252, 0.049, 0.353)
Ag (0.410, 0.760, 0.198)
Ag (0.590, 0.240, 0.802)
Ag (0.748, 0.951, 0.647)
Ag (0.760, 0.410, 0.198)
Ag (0.770, 0.770, 0.044)
Ag (0.951, 0.748, 0.647)

Peak list (10 most intense, 10° ≤ 2θ ≤ 80°, in order of rising 2θ)
2θ = 35.7°, intensity 35
2θ = 36.2°, intensity 44
2θ = 36.9°, intensity 50
2θ = 39.3°, intensity 48
2θ = 40.0°, intensity 30
2θ = 40.1°, intensity 100
2θ = 40.7°, intensity 88
2θ = 41.0°, intensity 94
2θ = 43.7°, intensity 28
2θ = 44.2°, intensity 48

---

This entry pairs a crystal structure of Dy12Cu6Ag with its computed powder diffraction line list. Radiation: Cu Ka. Structure: DFT lattice parameters and positions (GGA-PBE).
Kinematic intensities with the Lorentz-polarization factor, no thermal factor.

Structural model:
a = 8.485 Å, b = 8.485 Å, c = 8.485 Å
α = 109.47°, β = 109.47°, γ = 109.47°
Positions (direct):
Dy (0.105, 0.294, 0.811)
Dy (0.189, 0.483, 0.294)
Dy (0.189, 0.895, 0.706)
Dy (0.294, 0.189, 0.483)
Dy (0.294, 0.811, 0.105)
Dy (0.483, 0.294, 0.189)
Dy (0.517, 0.706, 0.811)
Dy (0.706, 0.189, 0.895)
Dy (0.706, 0.811, 0.517)
Dy (0.811, 0.105, 0.294)
Dy (0.811, 0.517, 0.706)
Dy (0.895, 0.706, 0.189)
Cu (0.125, 0.500, 0.625)
Cu (0.375, 0.875, 0.500)
Cu (0.500, 0.375, 0.875)
Cu (0.500, 0.625, 0.125)
Cu (0.625, 0.125, 0.500)
Cu (0.875, 0.500, 0.375)
Ag (0.000, 0.000, 0.000)

Peak list (10 most intense, 10° ≤ 2θ ≤ 80°, in order of rising 2θ)
2θ = 28.8°, intensity 32
2θ = 31.6°, intensity 47
2θ = 34.2°, intensity 100
2θ = 36.7°, intensity 20
2θ = 39.0°, intensity 12
2θ = 47.3°, intensity 17
2θ = 54.6°, intensity 34
2θ = 56.3°, intensity 12
2θ = 58.0°, intensity 35
2θ = 67.6°, intensity 19

---

This entry pairs a crystal structure of Dy4Cu3Ag with its computed powder diffraction line list. Radiation: Cu Ka. Structure: DFT lattice parameters and positions (GGA-PBE).
Kinematic intensities with the Lorentz-polarization factor, no thermal factor.

Structural model:
a = 3.756 Å, b = 4.581 Å, c = 10.421 Å
α = 90.00°, β = 90.00°, γ = 90.00°
Positions (direct):
Dy (0.000, 0.000, 0.000)
Dy (0.000, 0.500, 0.270)
Dy (0.500, 0.000, 0.482)
Dy (0.500, 0.500, 0.776)
Cu (0.000, 0.500, 0.554)
Cu (0.500, 0.000, 0.204)
Cu (0.500, 0.500, 0.062)
Ag (0.000, 0.000, 0.707)

Peak list (10 most intense, 10° ≤ 2θ ≤ 80°, in order of rising 2θ)
2θ = 25.9°, intensity 28
2θ = 32.0°, intensity 100
2θ = 34.4°, intensity 23
2θ = 35.2°, intensity 36
2θ = 39.3°, intensity 32
2θ = 39.8°, intensity 21
2θ = 40.5°, intensity 47
2θ = 48.5°, intensity 17
2θ = 53.8°, intensity 22
2θ = 64.1°, intensity 15

---

This entry pairs a crystal structure of Dy6CuAg with its computed powder diffraction line list. Radiation: Cu Ka. Structure: DFT lattice parameters and positions (GGA-PBE).
Kinematic intensities with the Lorentz-polarization factor, no thermal factor.

Structural model:
a = 5.013 Å, b = 5.013 Å, c = 17.375 Å
α = 90.00°, β = 90.00°, γ = 90.00°
Positions (direct):
Dy (0.000, 0.000, 0.250)
Dy (0.000, 0.000, 0.750)
Dy (0.000, 0.500, 0.104)
Dy (0.000, 0.500, 0.396)
Dy (0.000, 0.500, 0.604)
Dy (0.000, 0.500, 0.896)
Dy (0.500, 0.000, 0.104)
Dy (0.500, 0.000, 0.396)
Dy (0.500, 0.000, 0.604)
Dy (0.500, 0.000, 0.896)
Dy (0.500, 0.500, 0.250)
Dy (0.500, 0.500, 0.750)
Cu (0.000, 0.000, 0.000)
Cu (0.500, 0.500, 0.500)
Ag (0.000, 0.000, 0.500)
Ag (0.500, 0.500, 0.000)

Peak list (10 most intense, 10° ≤ 2θ ≤ 80°, in order of rising 2θ)
2θ = 27.2°, intensity 14
2θ = 30.9°, intensity 9
2θ = 32.6°, intensity 100
2θ = 35.8°, intensity 46
2θ = 41.6°, intensity 8
2θ = 48.0°, intensity 11
2θ = 51.6°, intensity 16
2θ = 56.0°, intensity 13
2θ = 59.2°, intensity 13
2θ = 62.4°, intensity 31

---

This entry pairs a crystal structure of Dy4CuAg2Hg with its computed powder diffraction line list. Radiation: Cu Ka. Structure: DFT lattice parameters and positions (GGA-PBE).
Kinematic intensities with the Lorentz-polarization factor, no thermal factor.

Structural model:
a = 8.871 Å, b = 8.871 Å, c = 8.871 Å
α = 33.55°, β = 33.55°, γ = 33.55°
Positions (direct):
Dy (0.120, 0.120, 0.120)
Dy (0.371, 0.371, 0.371)
Dy (0.629, 0.629, 0.629)
Dy (0.880, 0.880, 0.880)
Cu (0.000, 0.000, 0.000)
Ag (0.248, 0.248, 0.248)
Ag (0.752, 0.752, 0.752)
Hg (0.500, 0.500, 0.500)

Peak list (10 most intense, 10° ≤ 2θ ≤ 80°, in order of rising 2θ)
2θ = 10.6°, intensity 2
2θ = 20.3°, intensity 2
2θ = 24.6°, intensity 2
2θ = 26.8°, intensity 2
2θ = 32.1°, intensity 3
2θ = 35.0°, intensity 100
2θ = 50.4°, intensity 17
2θ = 62.9°, intensity 35
2θ = 66.8°, intensity 2
2θ = 74.1°, intensity 11

---

This entry pairs a crystal structure of PrDyCuAg with its computed powder diffraction line list. Radiation: Cu Ka. Structure: DFT lattice parameters and positions (GGA-PBE).
Kinematic intensities with the Lorentz-polarization factor, no thermal factor.

Structural model:
a = 3.595 Å, b = 3.595 Å, c = 7.383 Å
α = 90.00°, β = 90.00°, γ = 90.00°
Positions (direct):
Pr (0.000, 0.000, 0.000)
Dy (0.000, 0.000, 0.527)
Cu (0.500, 0.500, 0.740)
Ag (0.500, 0.500, 0.286)

Peak list (10 most intense, 10° ≤ 2θ ≤ 80°, in order of rising 2θ)
2θ = 24.1°, intensity 4
2θ = 24.8°, intensity 8
2θ = 34.8°, intensity 100
2θ = 35.3°, intensity 51
2θ = 49.4°, intensity 8
2θ = 50.8°, intensity 18
2θ = 62.1°, intensity 16
2θ = 63.1°, intensity 35
2θ = 73.5°, intensity 9
2θ = 74.7°, intensity 5

---

This entry pairs a crystal structure of Er3Cu2Ag2 with its computed powder diffraction line list. Radiation: Cu Ka. Structure: DFT lattice parameters and positions (GGA-PBE).
Kinematic intensities with the Lorentz-polarization factor, no thermal factor.

Structural model:
a = 4.776 Å, b = 4.790 Å, c = 8.740 Å
α = 74.76°, β = 74.76°, γ = 60.21°
Positions (direct):
Er (0.000, 0.000, 0.000)
Er (0.223, 0.219, 0.342)
Er (0.777, 0.781, 0.658)
Cu (0.102, 0.110, 0.681)
Cu (0.898, 0.890, 0.319)
Ag (0.395, 0.398, 0.808)
Ag (0.605, 0.602, 0.192)

Peak list (10 most intense, 10° ≤ 2θ ≤ 80°, in order of rising 2θ)
2θ = 21.3°, intensity 15
2θ = 27.8°, intensity 41
2θ = 28.0°, intensity 81
2θ = 32.3°, intensity 18
2θ = 36.1°, intensity 19
2θ = 37.5°, intensity 100
2θ = 37.7°, intensity 49
2θ = 42.1°, intensity 38
2θ = 42.5°, intensity 19
2θ = 57.9°, intensity 15

---

Q: Number 4 is which compound?
A: Dy4Cu3Ag